[1]
Structure and simulated XRD peak list of InTcTe2AuS (DFT lattice parameters and positions (PBE); copper Kα).

Main lines, in order of rising 2θ (2θ from 10° to 80°):
| 2θ (°) | d/Å | intensity |
| --- | --- | --- |
| 12.1 | 7.328 | 37.8 |
| 23.4 | 3.809 | 35.5 |
| 30.4 | 2.942 | 51.5 |
| 30.5 | 2.931 | 47.3 |
| 34.4 | 2.606 | 100.0 |
| 36.1 | 2.490 | 15.6 |
| 36.4 | 2.467 | 39.5 |
| 42.6 | 2.124 | 43.8 |
| 46.0 | 1.972 | 26.7 |
| 55.3 | 1.660 | 15.5 |
| 56.1 | 1.638 | 18.3 |
| 60.1 | 1.541 | 18.1 |

Cell and atoms:
Lattice parameters (Å, degrees): 7.589 7.589 9.870 90.00 90.00 149.87
Fractional positions:
In1 0.242 0.758 0.750
In2 0.758 0.242 0.250
Tc1 0.500 0.500 0.000
Tc2 0.500 0.500 0.500
Te1 0.136 0.864 0.035
Te2 0.136 0.864 0.465
Te3 0.864 0.136 0.535
Te4 0.864 0.136 0.965
Au1 0.023 0.977 0.250
Au2 0.977 0.023 0.750
S1 0.424 0.576 0.250
S2 0.576 0.424 0.750

[2]
Structure and simulated XRD peak list of TlInAu2S4 (DFT lattice parameters and positions (PBE); copper Kα).

Main lines, in order of rising 2θ (2θ from 10° to 80°):
| 2θ (°) | d/Å | intensity |
| --- | --- | --- |
| 26.2 | 3.400 | 100.0 |
| 30.3 | 2.952 | 22.0 |
| 30.5 | 2.931 | 10.8 |
| 43.3 | 2.087 | 17.6 |
| 43.5 | 2.080 | 34.9 |
| 51.4 | 1.779 | 32.1 |
| 51.7 | 1.770 | 15.8 |
| 53.9 | 1.700 | 9.3 |
| 63.0 | 1.476 | 5.8 |
| 69.4 | 1.354 | 6.5 |
| 69.7 | 1.350 | 13.0 |
| 79.7 | 1.204 | 12.0 |

Cell and atoms:
Lattice parameters (Å, degrees): 7.196 7.196 7.196 131.56 131.56 70.92
Fractional positions:
Tl1 0.000 0.000 0.000
In1 0.750 0.250 0.500
Au1 0.250 0.750 0.500
Au2 0.500 0.500 0.000
S1 0.130 0.614 0.001
S2 0.386 0.386 0.515
S3 0.614 0.129 0.999
S4 0.871 0.870 0.485

[3]
Structure and simulated XRD peak list of ScInAu2 (DFT lattice parameters and positions (PBE); copper Kα).

Main lines, in order of rising 2θ (2θ from 10° to 80°):
| 2θ (°) | d/Å | intensity |
| --- | --- | --- |
| 21.1 | 4.209 | 4.3 |
| 21.5 | 4.126 | 49.5 |
| 24.0 | 3.705 | 10.4 |
| 37.8 | 2.382 | 85.3 |
| 38.8 | 2.320 | 100.0 |
| 43.9 | 2.063 | 8.2 |
| 55.3 | 1.662 | 35.9 |
| 59.2 | 1.560 | 7.0 |
| 68.2 | 1.375 | 15.0 |
| 68.9 | 1.363 | 37.3 |
| 71.0 | 1.328 | 7.5 |
| 79.2 | 1.209 | 14.3 |

Cell and atoms:
Lattice parameters (Å, degrees): 4.765 4.765 8.418 90.00 90.00 120.00
Fractional positions:
Sc1 0.000 0.000 0.000
Sc2 0.000 0.000 0.500
In1 0.333 0.667 0.250
In2 0.667 0.333 0.750
Au1 0.333 0.667 0.588
Au2 0.333 0.667 0.912
Au3 0.667 0.333 0.088
Au4 0.667 0.333 0.412

[4]
Structure and simulated XRD peak list of InTe2WAuSe (DFT lattice parameters and positions (PBE); copper Kα).

Main lines, in order of rising 2θ (2θ from 10° to 80°):
| 2θ (°) | d/Å | intensity |
| --- | --- | --- |
| 10.9 | 8.116 | 93.4 |
| 28.4 | 3.146 | 18.6 |
| 29.7 | 3.004 | 18.6 |
| 31.1 | 2.876 | 79.8 |
| 34.9 | 2.572 | 100.0 |
| 36.1 | 2.490 | 52.5 |
| 37.8 | 2.378 | 41.6 |
| 41.6 | 2.172 | 40.4 |
| 47.5 | 1.916 | 18.9 |
| 50.5 | 1.806 | 23.0 |
| 55.3 | 1.660 | 20.9 |
| 63.7 | 1.462 | 20.0 |

Cell and atoms:
Lattice parameters (Å, degrees): 8.314 8.314 9.960 90.00 90.00 154.91
Fractional positions:
In1 0.250 0.750 0.750
In2 0.750 0.250 0.250
Te1 0.133 0.867 0.027
Te2 0.133 0.867 0.473
Te3 0.867 0.133 0.527
Te4 0.867 0.133 0.973
W1 0.500 0.500 0.000
W2 0.500 0.500 0.500
Au1 0.042 0.958 0.250
Au2 0.958 0.042 0.750
Se1 0.423 0.577 0.250
Se2 0.577 0.423 0.750